(1)
Computed powder X-ray diffraction pattern of La2Er2Tl3 for Cu Kα, 1.54184 Å, from a structure optimized by DFT (GGA-PBE).
Lines closer than 0.1° are merged.

Cell and atoms:
Lattice parameters (Å, degrees): 3.540 33.273 3.623 90.00 90.00 90.00
Element x y z (fractional)
La  0.000  0.071  0.000
La  0.000  0.929  0.000
La  0.500  0.429  0.000
La  0.500  0.571  0.000
Er  0.000  0.204  0.000
Er  0.000  0.796  0.000
Er  0.500  0.296  0.000
Er  0.500  0.704  0.000
Tl  0.000  0.358  0.500
Tl  0.000  0.500  0.500
Tl  0.000  0.642  0.500
Tl  0.500  0.000  0.500
Tl  0.500  0.142  0.500
Tl  0.500  0.858  0.500

Main lines, in order of falling intensity (10° ≤ 2θ ≤ 90°):
- 2θ = 31.51°, d 2.839, rel. 100
- 2θ = 35.56°, d 2.524, rel. 66
- 2θ = 32.79°, d 2.732, rel. 56
- 2θ = 60.63°, d 1.527, rel. 41
- 2θ = 29.45°, d 3.033, rel. 35
- 2θ = 55.04°, d 1.668, rel. 32

(2)
Computed powder X-ray diffraction pattern of Pu3Ga for Cu Kα, 1.54184 Å, from a structure optimized by DFT (GGA-PBE).
Lines closer than 0.1° are merged.

Cell and atoms:
Lattice parameters (Å, degrees): 4.582 4.582 4.030 90.00 90.00 90.00
Element x y z (fractional)
Pu  0.000  0.000  0.000
Pu  0.000  0.500  0.330
Pu  0.500  0.000  0.330
Ga  0.500  0.500  0.842

Main lines, in order of falling intensity (10° ≤ 2θ ≤ 90°):
- 2θ = 35.55°, d 2.525, rel. 100
- 2θ = 39.33°, d 2.291, rel. 49
- 2θ = 68.86°, d 1.364, rel. 30
- 2θ = 53.56°, d 1.711, rel. 22
- 2θ = 22.06°, d 4.030, rel. 21
- 2θ = 56.83°, d 1.620, rel. 17

(3)
Computed powder X-ray diffraction pattern of SrUTe4Au for Cu Kα, 1.54184 Å, from a structure optimized by DFT (GGA-PBE).
Lines closer than 0.1° are merged.

Cell and atoms:
Lattice parameters (Å, degrees): 7.844 6.341 9.301 90.00 109.41 90.00
Element x y z (fractional)
Sr  0.235  0.250  0.065
Sr  0.765  0.750  0.935
U  0.282  0.250  0.564
U  0.718  0.750  0.436
Te  0.034  0.509  0.724
Te  0.034  0.991  0.724
Te  0.428  0.750  0.607
Te  0.445  0.750  0.104
Te  0.555  0.250  0.896
Te  0.572  0.250  0.393
Te  0.966  0.009  0.276
Te  0.966  0.491  0.276
Au  0.264  0.750  0.298
Au  0.736  0.250  0.702

Main lines, in order of falling intensity (10° ≤ 2θ ≤ 90°):
- 2θ = 10.08°, d 8.772, rel. 100
- 2θ = 30.39°, d 2.941, rel. 96
- 2θ = 30.68°, d 2.914, rel. 88
- 2θ = 29.49°, d 3.029, rel. 78
- 2θ = 26.85°, d 3.321, rel. 73
- 2θ = 38.75°, d 2.324, rel. 69

(4)
Computed powder X-ray diffraction pattern of LiCeGa5 for Cu Kα, 1.54184 Å, from a structure optimized by DFT (GGA-PBE).
Lines closer than 0.1° are merged.

Cell and atoms:
Lattice parameters (Å, degrees): 4.411 4.411 6.945 90.00 90.00 90.00
Element x y z (fractional)
Li  0.000  0.000  0.000
Ce  0.000  0.000  0.500
Ga  0.000  0.500  0.197
Ga  0.000  0.500  0.803
Ga  0.500  0.000  0.197
Ga  0.500  0.000  0.803
Ga  0.500  0.500  0.500

Main lines, in order of falling intensity (10° ≤ 2θ ≤ 90°):
- 2θ = 38.83°, d 2.319, rel. 100
- 2θ = 31.44°, d 2.845, rel. 65
- 2θ = 40.92°, d 2.205, rel. 45
- 2θ = 73.14°, d 1.294, rel. 36
- 2θ = 57.74°, d 1.597, rel. 25
- 2θ = 12.75°, d 6.945, rel. 18

(5)
Computed powder X-ray diffraction pattern of LiPm2As3Pt4 for Cu Kα, 1.54184 Å, from a structure optimized by DFT (GGA-PBE).
Lines closer than 0.1° are merged.

Cell and atoms:
Lattice parameters (Å, degrees): 4.318 4.318 10.209 90.00 90.00 90.00
Element x y z (fractional)
Li  0.000  0.000  0.000
Pm  0.000  0.500  0.741
Pm  0.500  0.000  0.259
As  0.000  0.500  0.362
As  0.500  0.000  0.638
As  0.500  0.500  0.000
Pt  0.000  0.000  0.500
Pt  0.000  0.500  0.124
Pt  0.500  0.000  0.876
Pt  0.500  0.500  0.500

Main lines, in order of falling intensity (10° ≤ 2θ ≤ 90°):
- 2θ = 34.22°, d 2.620, rel. 100
- 2θ = 41.84°, d 2.159, rel. 80
- 2θ = 33.53°, d 2.673, rel. 74
- 2θ = 30.56°, d 2.925, rel. 46
- 2θ = 54.65°, d 1.680, rel. 37
- 2θ = 46.37°, d 1.958, rel. 36

(6)
Computed powder X-ray diffraction pattern of Pr2DyY5 for Cu Kα, 1.54184 Å, from a structure optimized by DFT (GGA-PBE).
Lines closer than 0.1° are merged.

Cell and atoms:
Lattice parameters (Å, degrees): 7.206 14.413 5.094 90.00 90.00 90.00
Element x y z (fractional)
Pr  0.249  0.124  0.000
Pr  0.251  0.624  0.000
Pr  0.749  0.376  0.000
Pr  0.751  0.876  0.000
Dy  0.000  0.000  0.500
Dy  0.500  0.500  0.500
Y  0.000  0.250  0.500
Y  0.000  0.500  0.500
Y  0.000  0.750  0.500
Y  0.250  0.375  0.000
Y  0.250  0.875  0.000
Y  0.500  0.000  0.500
Y  0.500  0.250  0.500
Y  0.500  0.750  0.500
Y  0.750  0.125  0.000
Y  0.750  0.625  0.000

Main lines, in order of falling intensity (10° ≤ 2θ ≤ 90°):
- 2θ = 30.39°, d 2.942, rel. 100
- 2θ = 35.23°, d 2.548, rel. 50
- 2θ = 60.24°, d 1.536, rel. 42
- 2θ = 50.68°, d 1.801, rel. 35
- 2θ = 82.53°, d 1.169, rel. 17
- 2θ = 85.17°, d 1.139, rel. 16

(7)
Computed powder X-ray diffraction pattern of Pr3Zn4Cu2 for Cu Kα, 1.54184 Å, from a structure optimized by DFT (GGA-PBE).
Lines closer than 0.1° are merged.

Cell and atoms:
Lattice parameters (Å, degrees): 5.487 5.487 8.764 101.58 101.58 49.28
Element x y z (fractional)
Pr  0.000  0.000  0.000
Pr  0.376  0.376  0.303
Pr  0.624  0.624  0.697
Zn  0.104  0.104  0.425
Zn  0.284  0.284  0.928
Zn  0.716  0.716  0.072
Zn  0.896  0.896  0.575
Cu  0.323  0.323  0.658
Cu  0.677  0.677  0.342

Main lines, in order of falling intensity (10° ≤ 2θ ≤ 90°):
- 2θ = 31.45°, d 2.845, rel. 100
- 2θ = 33.88°, d 2.645, rel. 46
- 2θ = 39.39°, d 2.287, rel. 43
- 2θ = 33.61°, d 2.667, rel. 38
- 2θ = 42.22°, d 2.141, rel. 36
- 2θ = 51.20°, d 1.784, rel. 23

(8)
Computed powder X-ray diffraction pattern of Sm4AgHgAu2 for Cu Kα, 1.54184 Å, from a structure optimized by DFT (GGA-PBE).
Lines closer than 0.1° are merged.

Cell and atoms:
Lattice parameters (Å, degrees): 9.092 9.092 9.092 33.53 33.53 33.53
Element x y z (fractional)
Sm  0.123  0.123  0.123
Sm  0.374  0.374  0.374
Sm  0.626  0.626  0.626
Sm  0.877  0.877  0.877
Ag  0.000  0.000  0.000
Hg  0.500  0.500  0.500
Au  0.250  0.250  0.250
Au  0.750  0.750  0.750

Main lines, in order of falling intensity (10° ≤ 2θ ≤ 90°):
- 2θ = 34.18°, d 2.623, rel. 100
- 2θ = 61.20°, d 1.515, rel. 37
- 2θ = 49.12°, d 1.855, rel. 18
- 2θ = 82.16°, d 1.173, rel. 16
- 2θ = 72.00°, d 1.312, rel. 12
- 2θ = 20.74°, d 4.284, rel. 1

(9)
Computed powder X-ray diffraction pattern of Ca3Zn2Cd4 for Cu Kα, 1.54184 Å, from a structure optimized by DFT (GGA-PBE).
Lines closer than 0.1° are merged.

Cell and atoms:
Lattice parameters (Å, degrees): 6.090 6.090 9.231 113.44 113.44 46.66
Element x y z (fractional)
Ca  0.000  0.000  0.000
Ca  0.324  0.324  0.349
Ca  0.676  0.676  0.651
Zn  0.409  0.409  0.738
Zn  0.591  0.591  0.262
Cd  0.037  0.037  0.369
Cd  0.281  0.281  0.937
Cd  0.719  0.719  0.063
Cd  0.963  0.963  0.631

Main lines, in order of falling intensity (10° ≤ 2θ ≤ 90°):
- 2θ = 32.46°, d 2.758, rel. 100
- 2θ = 36.91°, d 2.435, rel. 100
- 2θ = 24.29°, d 3.664, rel. 59
- 2θ = 37.29°, d 2.412, rel. 50
- 2θ = 44.68°, d 2.028, rel. 47
- 2θ = 32.31°, d 2.771, rel. 45

(10)
Computed powder X-ray diffraction pattern of CdCu2 for Cu Kα, 1.54184 Å, from a structure optimized by DFT (GGA-PBE).
Lines closer than 0.1° are merged.

Cell and atoms:
Lattice parameters (Å, degrees): 12.192 12.192 12.192 161.64 161.64 26.08
Element x y z (fractional)
Cd  0.295  0.545  0.750
Cd  0.455  0.705  0.750
Cd  0.545  0.295  0.250
Cd  0.705  0.455  0.250
Cu  0.049  0.799  0.250
Cu  0.125  0.375  0.750
Cu  0.201  0.951  0.250
Cu  0.375  0.125  0.250
Cu  0.625  0.875  0.750
Cu  0.799  0.049  0.750
Cu  0.875  0.625  0.250
Cu  0.951  0.201  0.750

Main lines, in order of falling intensity (10° ≤ 2θ ≤ 90°):
- 2θ = 39.90°, d 2.259, rel. 100
- 2θ = 46.69°, d 1.945, rel. 32
- 2θ = 82.01°, d 1.175, rel. 22
- 2θ = 67.51°, d 1.388, rel. 18
- 2θ = 45.84°, d 1.980, rel. 15
- 2θ = 68.17°, d 1.376, rel. 10